(1)
This entry pairs a crystal structure of TePd3Pt3 with its computed powder diffraction line list. Radiation: Cu Kα (λ = 1.5418 Å). Structure: a DFT-relaxed cell (GGA-PBE, Alexandria).
Kinematic intensities with the Lorentz-polarization factor, no thermal factor.

Top 6 peaks for 10° ≤ 2θ ≤ 80°, sorted by position:
2θ = 12.20°, I = 35; 2θ = 37.18°, I = 53; 2θ = 40.61°, I = 100; 2θ = 45.66°, I = 15; 2θ = 73.89°, I = 17; 2θ = 79.22°, I = 15

Atomic structure:
abc: 12.566 12.566 12.566
angles: 90.00 90.00 90.00
Space group Fd-3m (No. 227, origin choice 2)
Inequivalent atoms, fractional coordinates:
1 Te 0.000 0.000 0.000
2 Pd 0.107 0.375 0.375
3 Pt 0.000 0.000 0.500
4 Pt 0.036 0.036 0.714

---

(2)
This entry pairs a crystal structure of Ce5Pu3Ga4 with its computed powder diffraction line list. Radiation: Cu Kα (λ = 1.5418 Å). Structure: a DFT-relaxed cell (GGA-PBE, Alexandria).
Kinematic intensities with the Lorentz-polarization factor, no thermal factor.

Top 6 peaks for 10° ≤ 2θ ≤ 80°, sorted by position:
2θ = 12.50°, I = 21; 2θ = 33.68°, I = 57; 2θ = 34.37°, I = 22; 2θ = 34.98°, I = 100; 2θ = 37.25°, I = 48; 2θ = 38.33°, I = 42

Atomic structure:
```
data_Ce5Pu3Ga4
_cell_length_a 4.828
_cell_length_b 8.175
_cell_length_c 8.533
_cell_angle_alpha 61.98
_cell_angle_beta 73.57
_cell_angle_gamma 72.83
_space_group_name_H-M_alt 'P 1'
_space_group_IT_number 1
loop_
_space_group_symop_operation_xyz
'x,y,z'
loop_
_atom_site_label
_atom_site_fract_x
_atom_site_fract_y
_atom_site_fract_z
Ce1 0.000 0.000 0.000
Ce2 0.139 0.171 0.548
Ce3 0.296 0.694 0.713
Ce4 0.463 0.843 0.229
Ce5 0.737 0.439 0.085
Pu1 0.292 0.208 0.205
Pu2 0.595 0.373 0.436
Pu3 0.917 0.528 0.638
Ga1 0.092 0.581 0.232
Ga2 0.457 0.260 0.827
Ga3 0.651 0.908 0.788
Ga4 0.804 0.972 0.419
```

---

(3)
This entry pairs a crystal structure of BeBiAu with its computed powder diffraction line list. Radiation: Cu Kα (λ = 1.5418 Å). Structure: a DFT-relaxed cell (GGA-PBE, Alexandria).
Kinematic intensities with the Lorentz-polarization factor, no thermal factor.

Top 6 peaks for 10° ≤ 2θ ≤ 80°, sorted by position:
2θ = 28.84°, I = 47; 2θ = 29.60°, I = 51; 2θ = 30.82°, I = 100; 2θ = 42.29°, I = 20; 2θ = 43.92°, I = 21; 2θ = 44.30°, I = 31

Atomic structure:
```
data_BeBiAu
_cell_length_a 3.284
_cell_length_b 4.439
_cell_length_c 9.112
_cell_angle_alpha 91.26
_cell_angle_beta 90.29
_cell_angle_gamma 111.71
_space_group_name_H-M_alt 'P -1'
_space_group_IT_number 2
loop_
_space_group_symop_operation_xyz
'x,y,z'
'-x,-y,-z'
loop_
_atom_site_label
_atom_site_fract_x
_atom_site_fract_y
_atom_site_fract_z
Be1 0.144 0.290 0.460
Bi1 0.125 0.262 0.157
Au1 0.412 0.828 0.360
```

---

(4)
This entry pairs a crystal structure of LiTb2Pd2 with its computed powder diffraction line list. Radiation: Cu Kα (λ = 1.5418 Å). Structure: a DFT-relaxed cell (GGA-PBE, Alexandria).
Kinematic intensities with the Lorentz-polarization factor, no thermal factor.

Top 6 peaks for 10° ≤ 2θ ≤ 80°, sorted by position:
2θ = 16.32°, I = 31; 2θ = 23.16°, I = 14; 2θ = 35.30°, I = 100; 2θ = 37.01°, I = 22; 2θ = 54.94°, I = 13; 2θ = 70.57°, I = 15

Atomic structure:
```
data_LiTb2Pd2
_cell_length_a 7.682
_cell_length_b 7.682
_cell_length_c 3.781
_cell_angle_alpha 90.00
_cell_angle_beta 90.00
_cell_angle_gamma 90.00
_space_group_name_H-M_alt 'P 4/m b m'
_space_group_IT_number 127
_space_group_name_Hall '-P 4 2ab'
loop_
_atom_site_label
_atom_site_fract_x
_atom_site_fract_y
_atom_site_fract_z
Li1 0.000 0.000 0.000
Tb1 0.166 0.334 0.500
Pd1 0.134 0.634 0.000
```

---

(5)
This entry pairs a crystal structure of AlGa2Pt5 with its computed powder diffraction line list. Radiation: Cu Kα (λ = 1.5418 Å). Structure: a DFT-relaxed cell (GGA-PBE, Alexandria).
Kinematic intensities with the Lorentz-polarization factor, no thermal factor.

Top 6 peaks for 10° ≤ 2θ ≤ 80°, sorted by position:
2θ = 32.09°, I = 15; 2θ = 39.74°, I = 100; 2θ = 40.62°, I = 27; 2θ = 45.38°, I = 24; 2θ = 46.64°, I = 22; 2θ = 67.11°, I = 15

Atomic structure:
```
data_AlGa2Pt5
_cell_length_a 5.506
_cell_length_b 11.022
_cell_length_c 3.997
_cell_angle_alpha 90.00
_cell_angle_beta 90.00
_cell_angle_gamma 90.00
_space_group_name_H-M_alt 'P b a m'
_space_group_IT_number 55
loop_
_space_group_symop_operation_xyz
'x,y,z'
'-x,-y,-z'
'-x,-y,z'
'x,y,-z'
'x+1/2,-y+1/2,-z'
'-x+1/2,y+1/2,z'
'-x+1/2,y+1/2,-z'
'x+1/2,-y+1/2,z'
loop_
_atom_site_label
_atom_site_fract_x
_atom_site_fract_y
_atom_site_fract_z
Al1 0.000 0.000 0.000
Ga1 0.178 0.360 0.500
Pt1 0.000 0.500 0.000
Pt2 0.073 0.771 0.000
Pt3 0.206 0.107 0.500
```

---

(6)
This entry pairs a crystal structure of CeCdAs2Rh5 with its computed powder diffraction line list. Radiation: Cu Kα (λ = 1.5418 Å). Structure: a DFT-relaxed cell (GGA-PBE, Alexandria).
Kinematic intensities with the Lorentz-polarization factor, no thermal factor.

Top 6 peaks for 10° ≤ 2θ ≤ 80°, sorted by position:
2θ = 24.15°, I = 65; 2θ = 27.37°, I = 74; 2θ = 32.41°, I = 88; 2θ = 35.41°, I = 92; 2θ = 44.95°, I = 100; 2θ = 45.71°, I = 86

Atomic structure:
```
data_CeCdAs2Rh5
_cell_length_a 4.034
_cell_length_b 4.034
_cell_length_c 11.057
_cell_angle_alpha 90.00
_cell_angle_beta 90.00
_cell_angle_gamma 90.00
_space_group_name_H-M_alt 'P 4/m m m'
_space_group_IT_number 123
_space_group_name_Hall '-P 4 2'
loop_
_atom_site_label
_atom_site_fract_x
_atom_site_fract_y
_atom_site_fract_z
Ce1 0.000 0.000 0.000
Cd1 0.000 0.000 0.500
As1 0.500 0.500 0.216
Rh1 0.000 0.500 0.329
Rh2 0.500 0.500 0.000
```